Calculated powder diffractogram
Compound: Nd3Ge2H
Radiation: Cu Kα, 1.54184 Å
Structure: a crystal structure in Alexandria, relaxed with GGA-PBE

Peak list (6 most intense, 15° ≤ 2θ ≤ 90°, in order of falling intensity)
hkl 2 1 2, 2θ = 31.96°, rel. 100
hkl 1 1 2, 2θ = 25.84°, rel. 71
hkl 0 1 5, 2θ = 34.21°, rel. 44
hkl 0 2 0, 2θ = 42.46°, rel. 37
hkl 1 1 5, 2θ = 35.92°, rel. 37
hkl 2 1 1, 2θ = 30.55°, rel. 33

Structural model:
Lattice parameters (Å, degrees): 8.3056 4.2582 16.6342 90.00 90.00 90.00
Positions (direct):
Nd 0.0038 0.2500 0.1041
Nd 0.1333 0.7500 0.4309
Nd 0.1598 0.2500 0.7207
Nd 0.3402 0.7500 0.2207
Nd 0.3667 0.2500 0.9309
Nd 0.4962 0.7500 0.6041
Nd 0.5038 0.2500 0.3959
Nd 0.6333 0.7500 0.0691
Nd 0.6598 0.2500 0.7793
Nd 0.8402 0.7500 0.2793
Nd 0.8667 0.2500 0.5691
Nd 0.9962 0.7500 0.8959
Ge 0.1189 0.2500 0.2890
Ge 0.2396 0.7500 0.0398
Ge 0.2604 0.2500 0.5398
Ge 0.3811 0.7500 0.7890
Ge 0.6189 0.2500 0.2110
Ge 0.7396 0.7500 0.4602
Ge 0.7604 0.2500 0.9602
Ge 0.8811 0.7500 0.7110
H 0.1136 0.2500 0.8637
H 0.3864 0.7500 0.3637
H 0.6136 0.2500 0.6363
H 0.8864 0.7500 0.1363